Starting from the GGA+U geometry in the Materials Project, the powder X-ray diffraction pattern of DyFeH8C6N6O4 was computed for copper Kα.
Intensities are scaled so that the largest is 100.

Largest 10 diffraction maxima, in order of rising 2θ, 2θ = 15–90°:
two_theta	I_rel
15.24	100
19.00	84
24.00	72
34.19	40
35.81	35
37.59	23
42.17	19
42.26	14
50.30	16
55.42	17

Crystal structure
Cell: 7.415 7.415 13.608 Å, 90.00 90.00 119.80°
Positions (direct):
Dy  0.178  0.822  0.750
Dy  0.822  0.178  0.250
Fe  0.500  0.500  0.000
Fe  0.500  0.500  0.500
H  0.014  0.630  0.191
H  0.014  0.630  0.309
H  0.080  0.920  0.093
H  0.080  0.920  0.407
H  0.187  0.813  0.037
H  0.187  0.813  0.463
H  0.370  0.986  0.191
H  0.370  0.986  0.309
H  0.630  0.014  0.691
H  0.630  0.014  0.809
H  0.813  0.187  0.537
H  0.813  0.187  0.963
H  0.920  0.080  0.593
H  0.920  0.080  0.907
H  0.986  0.370  0.691
H  0.986  0.370  0.809
C  0.265  0.359  0.089
C  0.265  0.359  0.411
C  0.359  0.265  0.589
C  0.359  0.265  0.911
C  0.363  0.637  0.558
C  0.363  0.637  0.942
C  0.637  0.363  0.058
C  0.637  0.363  0.442
C  0.641  0.735  0.089
C  0.641  0.735  0.411
C  0.735  0.641  0.589
C  0.735  0.641  0.911
N  0.121  0.275  0.141
N  0.121  0.275  0.359
N  0.275  0.121  0.641
N  0.275  0.121  0.859
N  0.281  0.719  0.596
N  0.281  0.719  0.904
N  0.719  0.281  0.096
N  0.719  0.281  0.404
N  0.725  0.879  0.141
N  0.725  0.879  0.359
N  0.879  0.725  0.641
N  0.879  0.725  0.859
O  0.044  0.459  0.750
O  0.155  0.845  0.103
O  0.155  0.845  0.397
O  0.459  0.044  0.250
O  0.541  0.956  0.750
O  0.845  0.155  0.603
O  0.845  0.155  0.897
O  0.956  0.541  0.250